Record 1
Simulated powder diffraction line list of La8Co3Ir for Cu Kα X-rays, from a crystal structure in Alexandria, relaxed with GGA-PBE.
Lines closer than 0.1° are merged.

Crystal structure
```
12
Lattice="8.4712 -2.8233 0.0000 8.4712 2.8233 0.0000 -2.8341 0.0000 8.5241" Properties=species:S:1:pos:R:3 pbc="T T T"
La 0.0000 0.0000 0.0000
La -0.1181 0.0000 5.4821
La 2.6121 0.0000 2.9096
La 5.2675 0.0000 0.0077
La 5.3356 0.0000 5.6125
La 8.1654 0.0000 2.6114
La 11.0963 0.0000 5.8528
La 13.9782 0.0000 2.7304
Co -0.0316 0.0000 2.5514
Co 2.4317 0.0000 5.8674
Co 5.2815 0.0000 2.5160
Ir 14.0025 0.0000 5.7538
```

Main lines, by angle (2θ from 5° to 70°):
2theta, I/Imax
10.4, 25
11.0, 30
16.6, 28
27.3, 72
31.5, 47
31.7, 100
45.3, 67
45.4, 35
53.8, 22
56.3, 33

***

Record 2
Simulated powder diffraction line list of La3CoIr for Cu Kα X-rays, from a crystal structure in Alexandria, relaxed with GGA-PBE.
Lines closer than 0.1° are merged.

Crystal structure
```
20
Lattice="5.9563 -6.7414 0.0000 5.9563 6.7414 0.0000 -1.6474 0.0000 6.7915" Properties=species:S:1:pos:R:3 pbc="T T T"
La 3.3123 5.2984 6.3818
La 3.6567 2.8057 2.5950
La 6.1293 5.2984 3.8054
La 2.8469 0.9722 5.8116
La 3.6707 -0.9722 2.4159
La 7.4322 2.8057 0.8007
La 2.8330 -2.8057 5.9907
La 6.5946 0.9722 4.3756
La 7.4183 -0.9722 0.9799
La 4.1360 -5.2984 2.9861
La 6.6085 -2.8057 4.1965
La 6.9530 -5.2984 0.4096
Co 4.7208 3.3458 5.0936
Co 5.5445 0.9906 1.6979
Co 4.7208 -0.9906 5.0936
Co 5.5445 -3.3458 1.6979
Ir 1.2510 1.2250 3.2958
Ir 0.4273 -1.2250 6.6915
Ir 9.8379 1.2250 0.0999
Ir 9.0142 -1.2250 3.4957
```

Main lines, by angle (2θ from 5° to 70°):
2theta, I/Imax
15.0, 38
29.9, 53
30.9, 32
31.0, 100
32.0, 44
33.6, 41
40.1, 26
42.3, 27
43.8, 57
45.6, 34

***

Record 3
Simulated powder diffraction line list of La8Co3Ir2 for Cu Kα X-rays, from a crystal structure in Alexandria, relaxed with GGA-PBE.
Lines closer than 0.1° are merged.

Crystal structure
```
13
Lattice="6.5548 -4.2142 0.0000 6.5548 4.2142 0.0000 -0.0850 0.0000 6.9352" Properties=species:S:1:pos:R:3 pbc="T T T"
La 1.4269 0.0000 1.1953
La 4.8484 2.1419 2.3125
La 8.1761 2.1419 4.6226
La 4.9921 0.0000 5.8270
La 8.0323 0.0000 1.1082
La 4.8484 -2.1419 2.3125
La 8.1761 -2.1419 4.6226
La 11.5976 0.0000 5.7399
Co -0.0425 0.0000 3.4676
Co 6.5548 1.9992 0.0000
Co 6.5548 -1.9992 0.0000
Ir 3.2698 0.0000 3.5027
Ir 9.7546 0.0000 3.4325
```

Main lines, by angle (2θ from 5° to 70°):
2theta, I/Imax
18.5, 24
18.7, 25
28.2, 100
28.4, 37
29.3, 45
37.0, 34
37.2, 52
37.5, 25
42.9, 32
44.7, 57

***

Record 4
Simulated powder diffraction line list of La6Co2Ir for Cu Kα X-rays, from a crystal structure in Alexandria, relaxed with GGA-PBE.
Lines closer than 0.1° are merged.

Crystal structure
```
9
Lattice="7.1689 0.0000 0.0000 -3.5844 6.2084 0.0000 0.0000 0.0000 6.6122" Properties=species:S:1:pos:R:3 pbc="T T T"
La -1.2274 2.1260 1.4745
La -2.3570 4.0825 5.1377
La 2.4548 0.0000 1.4745
La 1.2274 2.1260 5.1377
La 4.7141 0.0000 5.1377
La 2.3570 4.0825 1.4745
Co 0.0000 4.1390 0.0000
Co 3.5845 2.0695 0.0000
Ir 0.0000 0.0000 0.0000
```

Main lines, by angle (2θ from 5° to 70°):
2theta, I/Imax
13.4, 36
27.0, 7
28.3, 100
37.0, 49
43.7, 35
46.0, 10
48.5, 27
52.9, 17
58.6, 13
67.3, 10